(1)
Computed X-ray diffraction stick pattern of V3Sn for a wavelength of 1.5418 Å, from the PBE geometry in the Materials Project.

Largest 10 diffraction maxima, by angle, 10° ≤ 2θ ≤ 90°:
- 2θ 25.37, I = 371
- 2θ 36.18, I = 455
- 2θ 40.63, I = 437
- 2θ 44.71, I = 1000
- 2θ 52.10, I = 62
- 2θ 58.81, I = 90
- 2θ 68.09, I = 81
- 2θ 71.04, I = 504
- 2θ 76.79, I = 118
- 2θ 87.96, I = 150

Structure:
Lattice parameters (Å, degrees): 4.965 4.965 4.965 90.00 90.00 90.00
Space group Pm-3n (No. 223)
Unique sites:
V (0.000, 0.250, 0.500)
Sn (0.000, 0.000, 0.000)

(2)
Computed X-ray diffraction stick pattern of YV6Sn6 for a wavelength of 1.5418 Å, from the PBE geometry in the Materials Project.

Largest 10 diffraction maxima, by angle, 10° ≤ 2θ ≤ 90°:
- 2θ 32.45, I = 1000
- 2θ 34.67, I = 367
- 2θ 37.99, I = 770
- 2θ 39.03, I = 230
- 2θ 42.61, I = 609
- 2θ 43.55, I = 232
- 2θ 57.88, I = 203
- 2θ 67.94, I = 285
- 2θ 70.02, I = 366
- 2θ 88.31, I = 211

Structure:
Lattice parameters (Å, degrees): 5.5185 5.5185 9.2308 90.00 90.00 120.00
Space group P6/mmm (No. 191)
Unique sites:
Y (0.0000, 0.0000, 0.0000)
V (0.0000, 0.5000, 0.2488)
Sn (0.0000, 0.0000, 0.3317)
Sn (0.3333, 0.6667, 0.0000)
Sn (0.3333, 0.6667, 0.5000)

(3)
Computed X-ray diffraction stick pattern of YSn2 for a wavelength of 1.5418 Å, from the PBE geometry in the Materials Project.

Largest 10 diffraction maxima, by angle, 10° ≤ 2θ ≤ 90°:
- 2θ 32.71, I = 203
- 2θ 33.08, I = 1000
- 2θ 40.64, I = 154
- 2θ 41.28, I = 148
- 2θ 53.12, I = 104
- 2θ 53.64, I = 101
- 2θ 58.62, I = 102
- 2θ 59.32, I = 103
- 2θ 69.17, I = 122
- 2θ 70.07, I = 118

Structure:
Lattice parameters (Å, degrees): 4.440 16.426 4.374 90.00 90.00 90.00
Space group Cmcm (No. 63)
Unique sites:
Y (0.000, 0.099, 0.250)
Sn (0.000, 0.251, 0.750)
Sn (0.000, 0.437, 0.250)

(4)
Computed X-ray diffraction stick pattern of Y11Sn10 for a wavelength of 1.5418 Å, from the PBE geometry in the Materials Project.

Largest 10 diffraction maxima, by angle, 10° ≤ 2θ ≤ 90°:
- 2θ 30.64, I = 315
- 2θ 31.26, I = 706
- 2θ 31.78, I = 1000
- 2θ 32.03, I = 603
- 2θ 32.42, I = 628
- 2θ 32.54, I = 788
- 2θ 34.24, I = 286
- 2θ 34.92, I = 636
- 2θ 41.81, I = 462
- 2θ 64.13, I = 393

Structure:
Lattice parameters (Å, degrees): 11.673 11.673 17.106 90.00 90.00 90.00
Space group I4/mmm (No. 139)
Unique sites:
Y (0.000, 0.000, 0.164)
Y (0.000, 0.252, 0.311)
Y (0.000, 0.330, 0.102)
Y (0.174, 0.174, 0.500)
Sn (0.000, 0.000, 0.388)
Sn (0.000, 0.356, 0.500)
Sn (0.000, 0.500, 0.250)
Sn (0.130, 0.130, 0.000)
Sn (0.207, 0.207, 0.176)